1.
Theoretical powder diffractogram
Compound: ErNi5Au
Radiation: a wavelength of 1.5418 Å
Structure: a GGA-PBE-relaxed structure

Structure:
abc: 7.948 4.832 10.176
angles: 90.00 90.00 90.00
Sites, in units of the cell vectors:
Er1 0.243 0.250 0.061
Er2 0.257 0.750 0.561
Er3 0.743 0.250 0.439
Er4 0.757 0.750 0.939
Ni1 0.053 0.750 0.108
Ni2 0.068 0.001 0.315
Ni3 0.068 0.499 0.315
Ni4 0.091 0.250 0.519
Ni5 0.187 0.250 0.744
Ni6 0.313 0.750 0.244
Ni7 0.409 0.750 0.019
Ni8 0.432 0.501 0.815
Ni9 0.432 0.999 0.815
Ni10 0.447 0.250 0.608
Ni11 0.553 0.750 0.392
Ni12 0.568 0.001 0.185
Ni13 0.568 0.499 0.185
Ni14 0.591 0.250 0.981
Ni15 0.687 0.250 0.756
Ni16 0.813 0.750 0.256
Ni17 0.909 0.750 0.481
Ni18 0.932 0.501 0.685
Ni19 0.932 0.999 0.685
Ni20 0.947 0.250 0.892
Au1 0.135 0.750 0.862
Au2 0.365 0.250 0.362
Au3 0.635 0.750 0.638
Au4 0.865 0.250 0.138

Largest 10 diffraction maxima, in order of rising 2θ, 10° ≤ 2θ ≤ 90°:
| 2θ (°) | I_rel |
| --- | --- |
| 32.24 | 45.2 |
| 34.21 | 47.2 |
| 37.11 | 44.3 |
| 37.22 | 50.8 |
| 39.60 | 64.3 |
| 39.80 | 100.0 |
| 44.80 | 45.2 |
| 46.36 | 61.5 |
| 47.60 | 47.6 |
| 68.84 | 44.1 |


2.
Theoretical powder diffractogram
Compound: Er12NiAu6
Radiation: a wavelength of 1.5418 Å
Structure: a GGA-PBE-relaxed structure

Structure:
abc: 8.243 8.243 8.243
angles: 98.66 98.66 98.66
Sites, in units of the cell vectors:
Er1 0.036 0.935 0.686
Er2 0.065 0.314 0.964
Er3 0.182 0.579 0.428
Er4 0.314 0.964 0.065
Er5 0.421 0.572 0.818
Er6 0.428 0.182 0.579
Er7 0.572 0.818 0.421
Er8 0.579 0.428 0.182
Er9 0.686 0.036 0.935
Er10 0.818 0.421 0.572
Er11 0.935 0.686 0.036
Er12 0.964 0.065 0.314
Ni1 0.000 0.000 0.000
Au1 0.132 0.305 0.625
Au2 0.305 0.625 0.132
Au3 0.375 0.868 0.695
Au4 0.625 0.132 0.305
Au5 0.695 0.375 0.868
Au6 0.868 0.695 0.375

Largest 10 diffraction maxima, in order of rising 2θ, 10° ≤ 2θ ≤ 90°:
| 2θ (°) | I_rel |
| --- | --- |
| 22.35 | 19.3 |
| 22.97 | 80.9 |
| 31.09 | 40.3 |
| 33.40 | 51.0 |
| 37.29 | 100.0 |
| 38.08 | 95.4 |
| 39.28 | 23.1 |
| 49.31 | 18.5 |
| 54.36 | 22.9 |
| 69.65 | 20.3 |


3.
Theoretical powder diffractogram
Compound: Er3NiAu
Radiation: a wavelength of 1.5418 Å
Structure: a GGA-PBE-relaxed structure

Structure:
abc: 5.889 5.889 8.337
angles: 112.06 112.06 66.12
Sites, in units of the cell vectors:
Er1 0.024 0.024 0.227
Er2 0.290 0.290 0.673
Er3 0.321 0.321 0.137
Er4 0.679 0.679 0.863
Er5 0.710 0.710 0.327
Er6 0.976 0.976 0.773
Ni1 0.308 0.692 0.000
Ni2 0.692 0.308 0.000
Au1 0.276 0.724 0.500
Au2 0.724 0.276 0.500

Largest 10 diffraction maxima, in order of rising 2θ, 10° ≤ 2θ ≤ 90°:
| 2θ (°) | I_rel |
| --- | --- |
| 32.28 | 68.6 |
| 32.48 | 28.8 |
| 33.08 | 84.2 |
| 33.49 | 63.3 |
| 34.54 | 37.4 |
| 36.59 | 65.3 |
| 36.93 | 100.0 |
| 43.44 | 44.8 |
| 52.88 | 34.4 |
| 64.83 | 30.0 |


4.
Theoretical powder diffractogram
Compound: Er12Ni6Au
Radiation: a wavelength of 1.5418 Å
Structure: a GGA-PBE-relaxed structure

Structure:
abc: 8.251 8.251 8.251
angles: 109.47 109.47 109.47
Sites, in units of the cell vectors:
Er1 0.114 0.300 0.815
Er2 0.185 0.485 0.300
Er3 0.185 0.886 0.700
Er4 0.300 0.185 0.485
Er5 0.300 0.815 0.114
Er6 0.485 0.300 0.185
Er7 0.515 0.700 0.815
Er8 0.700 0.185 0.886
Er9 0.700 0.815 0.515
Er10 0.815 0.114 0.300
Er11 0.815 0.515 0.700
Er12 0.886 0.700 0.185
Ni1 0.126 0.500 0.626
Ni2 0.374 0.874 0.500
Ni3 0.500 0.374 0.874
Ni4 0.500 0.626 0.126
Ni5 0.626 0.126 0.500
Ni6 0.874 0.500 0.374
Au1 0.000 0.000 0.000

Largest 10 diffraction maxima, in order of rising 2θ, 10° ≤ 2θ ≤ 90°:
| 2θ (°) | I_rel |
| --- | --- |
| 29.65 | 41.2 |
| 32.56 | 41.7 |
| 35.25 | 100.0 |
| 37.77 | 16.8 |
| 48.74 | 18.0 |
| 56.31 | 32.5 |
| 59.84 | 35.2 |
| 69.80 | 18.5 |
| 86.72 | 15.3 |
| 88.23 | 15.3 |


5.
Theoretical powder diffractogram
Compound: ErZrNiAu
Radiation: a wavelength of 1.5418 Å
Structure: a GGA-PBE-relaxed structure

Structure:
abc: 4.816 4.816 4.816
angles: 60.00 60.00 60.00
Sites, in units of the cell vectors:
Er1 0.000 0.000 0.000
Zr1 0.500 0.500 0.500
Ni1 0.750 0.750 0.750
Au1 0.250 0.250 0.250

Largest 9 diffraction maxima, in order of rising 2θ, 10° ≤ 2θ ≤ 90°:
| 2θ (°) | I_rel |
| --- | --- |
| 22.61 | 19.2 |
| 37.34 | 100.0 |
| 44.09 | 10.9 |
| 53.84 | 17.3 |
| 59.12 | 4.8 |
| 67.35 | 35.1 |
| 72.04 | 3.7 |
| 79.62 | 11.0 |
| 84.07 | 3.9 |


6.
Theoretical powder diffractogram
Compound: RbEr2Au2O6
Radiation: a wavelength of 1.5418 Å
Structure: a GGA-PBE-relaxed structure

Structure:
abc: 6.166 6.775 6.913
angles: 81.19 69.13 62.94
Sites, in units of the cell vectors:
Rb1 0.000 0.000 0.000
Er1 0.319 0.362 0.000
Er2 0.681 0.638 0.000
Au1 0.222 0.556 0.500
Au2 0.778 0.444 0.500
O1 0.085 0.573 0.811
O2 0.342 0.575 0.190
O3 0.492 0.999 0.894
O4 0.508 0.001 0.106
O5 0.658 0.425 0.810
O6 0.915 0.427 0.189

Largest 10 diffraction maxima, in order of rising 2θ, 10° ≤ 2θ ≤ 90°:
| 2θ (°) | I_rel |
| --- | --- |
| 14.68 | 100.0 |
| 27.64 | 79.2 |
| 27.82 | 29.7 |
| 31.05 | 44.3 |
| 32.77 | 21.3 |
| 33.06 | 15.2 |
| 33.51 | 30.5 |
| 34.47 | 12.8 |
| 49.33 | 13.0 |
| 49.91 | 12.8 |